Computed X-ray powder pattern of Ba2Ti3Tl2Zn2O10 for a wavelength of 1.5418 Å, from a PBE-relaxed structure.

Principal peaks in the range 2θ = 5–70°, in order of rising 2θ:
- (0 0 2), 9.954 Å, rel. 24.4
- (0 1 4), 3.135 Å, rel. 42.3
- (0 1 -4), 2.990 Å, rel. 52.1
- (1 0 -4), 2.969 Å, rel. 51.3
- (1 0 5), 2.855 Å, rel. 37.0
- (0 1 5), 2.845 Å, rel. 48.9
- (1 -1 0), 2.736 Å, rel. 100.0
- (0 2 1), 1.938 Å, rel. 24.3
- (2 0 1), 1.932 Å, rel. 22.5
- (1 -2 4), 1.628 Å, rel. 18.1

Structural model:
```
Ba2Ti3Tl2Zn2O10
1.0
3.8671 0.0000 0.0000
0.0003 3.8799 0.0000
1.1450 0.9478 19.9075
Ba Ti Tl Zn O
2 3 2 2 10
Direct
0.0000 0.0000 0.0000 Ba
0.3347 0.3544 0.3558 Ba
0.5390 0.5566 0.8573 Ti
0.7557 0.5827 0.6807 Ti
0.7762 0.8318 0.4995 Ti
0.4060 0.4465 0.1189 Tl
0.8613 0.9051 0.2367 Tl
0.0708 0.0779 0.7822 Zn
0.2507 0.3128 0.5741 Zn
0.0419 0.5669 0.8306 O
0.2677 0.8482 0.5217 O
0.2856 0.5492 0.6602 O
0.3067 0.4208 0.2331 O
0.5175 0.0623 0.8380 O
0.5344 0.5337 0.9467 O
0.7619 0.3284 0.5241 O
0.8002 0.0630 0.7003 O
0.8057 0.8390 0.4102 O
0.8387 0.9340 0.1222 O
```